This entry pairs a crystal structure of Ho4Er2Te9 with its simulated powder XRD pattern. Radiation: λ = 1.5418 Å (Cu Kα). Structure: a DFT-relaxed cell (PBE, Alexandria).

Largest 10 diffraction maxima, low angle first, 2θ from 15° to 90°:
- 15.8°, d = 5.599 Å, I 35, (1 0 2)
- 21.6°, d = 4.111 Å, I 27, (0 1 4)
- 26.6°, d = 3.355 Å, I 85, (1 1 3)
- 32.0°, d = 2.800 Å, I 19, (2 0 4)
- 34.8°, d = 2.580 Å, I 100, (1 1 6)
- 40.9°, d = 2.208 Å, I 62, (3 0 0)
- 45.6°, d = 1.990 Å, I 19, (1 1 9)
- 54.7°, d = 1.677 Å, I 27, (2 2 6)
- 68.5°, d = 1.370 Å, I 21, (3 0 12)
- 70.5°, d = 1.336 Å, I 24, (4 1 6)

Cell and atoms:
```
data_Ho4Er2Te9
_chemical_formula_sum 'Ho8 Er4 Te18'
_symmetry_space_group_name_H-M 'P -3 c 1'
_symmetry_Int_Tables_number 165
_symmetry_space_group_name_Hall '-P 3 2"c'
_cell_length_a 7.6474
_cell_length_b 7.6474
_cell_length_c 20.9702
_cell_angle_alpha 90.00
_cell_angle_beta 90.00
_cell_angle_gamma 120.00
loop_
_atom_site_label
_atom_site_fract_x
_atom_site_fract_y
_atom_site_fract_z
_atom_site_occupancy
Ho1 0.3333 0.6667 0.1760 1
Ho2 0.3333 0.6667 0.4908 1
Er1 0.0000 0.0000 0.1576 1
Te1 0.0000 0.3137 0.2500 1
Te2 0.0187 0.3512 0.5835 1
```

This entry pairs a crystal structure of HoEr3Te6 with its simulated powder XRD pattern. Radiation: λ = 1.5418 Å (Cu Kα). Structure: a DFT-relaxed cell (PBE, Alexandria).

Largest 10 diffraction maxima, low angle first, 2θ from 15° to 90°:
- 17.3°, d = 5.128 Å, I 44, (0 0 3)
- 19.8°, d = 4.480 Å, I 32, (2 0 2)
- 22.1°, d = 4.021 Å, I 57, (2 1 1)
- 24.3°, d = 3.663 Å, I 44, (1 2 2)
- 31.5°, d = 2.841 Å, I 85, (3 1 2)
- 31.7°, d = 2.826 Å, I 100, (2 1 4)
- 37.4°, d = 2.405 Å, I 85, (1 4 0)
- 37.8°, d = 2.378 Å, I 40, (2 -1 6)
- 41.5°, d = 2.178 Å, I 20, (5 -1 3)
- 45.4°, d = 1.996 Å, I 27, (4 -2 6)

Cell and atoms:
```
data_HoEr3Te6
_chemical_formula_sum 'Ho6 Er18 Te36'
_symmetry_space_group_name_H-M 'R -3'
_symmetry_Int_Tables_number 148
_symmetry_space_group_name_Hall '-R 3'
_cell_length_a 12.7269
_cell_length_b 12.7269
_cell_length_c 15.3831
_cell_angle_alpha 90.00
_cell_angle_beta 90.00
_cell_angle_gamma 120.00
loop_
_atom_site_label
_atom_site_fract_x
_atom_site_fract_y
_atom_site_fract_z
_atom_site_occupancy
Ho1 0.0000 0.0000 0.0000 1
Ho2 0.0000 0.0000 0.5000 1
Er1 0.0571 0.2748 0.2001 1
Te1 0.0156 0.2097 0.3933 1
Te2 0.0339 0.1970 0.8752 1
```

This entry pairs a crystal structure of Ho2Er2Te5 with its simulated powder XRD pattern. Radiation: λ = 1.5418 Å (Cu Kα). Structure: a DFT-relaxed cell (PBE, Alexandria).

Largest 10 diffraction maxima, low angle first, 2θ from 15° to 90°:
- 19.4°, d = 4.585 Å, I 24, (0 4 0)
- 29.2°, d = 3.057 Å, I 59, (0 6 0)
- 29.3°, d = 3.046 Å, I 73, (0 0 2)
- 29.7°, d = 3.010 Å, I 71, (2 0 0)
- 37.4°, d = 2.402 Å, I 17, (1 7 0)
- 41.9°, d = 2.158 Å, I 44, (0 6 2)
- 42.2°, d = 2.143 Å, I 100, (2 0 2)
- 48.2°, d = 1.886 Å, I 17, (1 7 2)
- 52.2°, d = 1.754 Å, I 48, (2 6 2)
- 69.7°, d = 1.350 Å, I 22, (4 0 2)

Cell and atoms:
```
data_Ho2Er2Te5
_chemical_formula_sum 'Ho4 Er4 Te10'
_symmetry_space_group_name_H-M 'C m m m'
_symmetry_Int_Tables_number 65
_symmetry_space_group_name_Hall '-C 2 2'
_cell_length_a 6.021
_cell_length_b 18.341
_cell_length_c 6.092
_cell_angle_alpha 90.00
_cell_angle_beta 90.00
_cell_angle_gamma 90.00
loop_
_atom_site_label
_atom_site_fract_x
_atom_site_fract_y
_atom_site_fract_z
_atom_site_occupancy
Ho1 0.000 0.156 0.000 1
Er1 0.000 0.315 0.500 1
Te1 0.000 0.000 0.000 1
Te2 0.000 0.152 0.500 1
Te3 0.000 0.331 0.000 1
```

This entry pairs a crystal structure of Ho3ErTl4Te8 with its simulated powder XRD pattern. Radiation: λ = 1.5418 Å (Cu Kα). Structure: a DFT-relaxed cell (PBE, Alexandria).

Largest 10 diffraction maxima, low angle first, 2θ from 15° to 90°:
- 27.4°, d = 3.256 Å, I 100, (0 2 4)
- 37.5°, d = 2.398 Å, I 39, (2 0 8)
- 40.7°, d = 2.217 Å, I 36, (2 2 0)
- 44.2°, d = 2.047 Å, I 7, (0 0 12)
- 49.8°, d = 1.832 Å, I 20, (4 0 4)
- 56.5°, d = 1.628 Å, I 12, (0 4 8)
- 61.7°, d = 1.504 Å, I 15, (2 2 12)
- 66.2°, d = 1.412 Å, I 17, (2 4 4)
- 72.0°, d = 1.312 Å, I 11, (4 2 8)
- 74.1°, d = 1.280 Å, I 6, (6 0 0)

Cell and atoms:
```
data_Ho3ErTl4Te8
_chemical_formula_sum 'Ho9 Er3 Tl12 Te24'
_symmetry_space_group_name_H-M 'R -3 m'
_symmetry_Int_Tables_number 166
_symmetry_space_group_name_Hall '-R 3 2"'
_cell_length_a 8.8666
_cell_length_b 8.8666
_cell_length_c 24.5661
_cell_angle_alpha 90.00
_cell_angle_beta 90.00
_cell_angle_gamma 120.00
loop_
_atom_site_label
_atom_site_fract_x
_atom_site_fract_y
_atom_site_fract_z
_atom_site_occupancy
Ho1 0.0000 0.5000 0.0000 1
Er1 0.0000 0.0000 0.0000 1
Tl1 0.0000 0.0000 0.5000 1
Tl2 0.0000 0.5000 0.5000 1
Te1 0.0000 0.0000 0.2626 1
Te2 0.0009 0.5004 0.7373 1
```

This entry pairs a crystal structure of Y2Ho3ErTe6 with its simulated powder XRD pattern. Radiation: λ = 1.5418 Å (Cu Kα). Structure: a DFT-relaxed cell (PBE, Alexandria).

Largest 10 diffraction maxima, low angle first, 2θ from 15° to 90°:
- 29.1°, d = 3.071 Å, I 100, (1 1 -2)
- 41.4°, d = 2.182 Å, I 13, (2 0 -4)
- 41.5°, d = 2.175 Å, I 25, (5 1 2)
- 41.6°, d = 2.169 Å, I 25, (7 1 -2)
- 41.8°, d = 2.162 Å, I 12, (0 2 0)
- 51.3°, d = 1.782 Å, I 7, (4 0 4)
- 51.7°, d = 1.768 Å, I 13, (6 2 0)
- 60.3°, d = 1.536 Å, I 13, (2 2 -4)
- 68.4°, d = 1.372 Å, I 11, (8 2 -4)
- 76.1°, d = 1.251 Å, I 8, (5 3 2)

Cell and atoms:
```
data_Y2Ho3ErTe6
_chemical_formula_sum 'Y4 Ho6 Er2 Te12'
_symmetry_space_group_name_H-M 'C 1 2/m 1'
_symmetry_Int_Tables_number 12
_cell_length_a 18.916
_cell_length_b 4.324
_cell_length_c 8.729
_cell_angle_alpha 90.00
_cell_angle_beta 103.11
_cell_angle_gamma 90.00
loop_
_symmetry_equiv_pos_as_xyz
'x,y,z'
'-x,-y,-z'
'-x,y,-z'
'x,-y,z'
'x+1/2,y+1/2,z'
'-x+1/2,-y+1/2,-z'
'-x+1/2,y+1/2,-z'
'x+1/2,-y+1/2,z'
loop_
_atom_site_label
_atom_site_fract_x
_atom_site_fract_y
_atom_site_fract_z
_atom_site_occupancy
Y1 0.168 0.000 0.334 1
Ho1 0.000 0.500 0.500 1
Ho2 0.169 0.000 0.833 1
Er1 0.000 0.500 0.000 1
Te1 0.001 0.000 0.752 1
Te2 0.165 0.500 0.080 1
Te3 0.165 0.500 0.584 1
```

This entry pairs a crystal structure of Ho2Er5Th4 with its simulated powder XRD pattern. Radiation: λ = 1.5418 Å (Cu Kα). Structure: a DFT-relaxed cell (PBE, Alexandria).

Largest 10 diffraction maxima, low angle first, 2θ from 15° to 90°:
- 30.9°, d = 2.898 Å, I 100, (1 1 1)
- 31.2°, d = 2.869 Å, I 32, (0 3 -1)
- 35.8°, d = 2.510 Å, I 45, (1 2 -3)
- 36.1°, d = 2.491 Å, I 22, (0 2 3)
- 51.4°, d = 1.778 Å, I 16, (1 0 5)
- 52.0°, d = 1.760 Å, I 16, (1 4 0)
- 61.1°, d = 1.517 Å, I 15, (2 1 -5)
- 61.3°, d = 1.512 Å, I 14, (0 1 7)
- 61.6°, d = 1.505 Å, I 19, (1 3 4)
- 64.3°, d = 1.448 Å, I 8, (2 2 2)

Cell and atoms:
```
data_Ho2Er5Th4
_chemical_formula_sum 'Ho2 Er5 Th4'
_symmetry_space_group_name_H-M 'P -1'
_symmetry_Int_Tables_number 2
_cell_length_a 3.558
_cell_length_b 8.607
_cell_length_c 11.793
_cell_angle_alpha 104.59
_cell_angle_beta 98.61
_cell_angle_gamma 90.06
loop_
_symmetry_equiv_pos_as_xyz
'x,y,z'
'-x,-y,-z'
loop_
_atom_site_label
_atom_site_fract_x
_atom_site_fract_y
_atom_site_fract_z
_atom_site_occupancy
Ho1 0.090 0.220 0.180 1
Er1 0.000 0.500 0.000 1
Er2 0.273 0.686 0.545 1
Er3 0.364 0.405 0.727 1
Th1 0.182 0.952 0.364 1
Th2 0.454 0.137 0.908 1
```

This entry pairs a crystal structure of Ho2ErTh3 with its simulated powder XRD pattern. Radiation: λ = 1.5418 Å (Cu Kα). Structure: a DFT-relaxed cell (PBE, Alexandria).

Largest 10 diffraction maxima, low angle first, 2θ from 15° to 90°:
- 27.4°, d = 3.250 Å, I 38, (3 1 0)
- 30.6°, d = 2.924 Å, I 38, (3 1 1)
- 31.1°, d = 2.879 Å, I 100, (0 2 2)
- 31.8°, d = 2.815 Å, I 43, (0 4 0)
- 35.7°, d = 2.518 Å, I 39, (3 3 0)
- 38.6°, d = 2.332 Å, I 46, (3 1 2)
- 56.2°, d = 1.637 Å, I 43, (0 6 2)
- 63.6°, d = 1.462 Å, I 27, (6 2 2)
- 64.1°, d = 1.454 Å, I 23, (6 4 0)
- 89.2°, d = 1.098 Å, I 20, (6 4 4)

Cell and atoms:
```
data_Ho2ErTh3
_chemical_formula_sum 'Ho8 Er4 Th12'
_symmetry_space_group_name_H-M 'C m c m'
_symmetry_Int_Tables_number 63
_symmetry_space_group_name_Hall '-C 2c 2'
_cell_length_a 10.183
_cell_length_b 11.260
_cell_length_c 6.699
_cell_angle_alpha 90.00
_cell_angle_beta 90.00
_cell_angle_gamma 90.00
loop_
_atom_site_label
_atom_site_fract_x
_atom_site_fract_y
_atom_site_fract_z
_atom_site_occupancy
Ho1 0.167 0.230 0.250 1
Er1 0.000 0.270 0.750 1
Th1 0.000 0.000 0.000 1
Th2 0.167 0.500 0.000 1
```

This entry pairs a crystal structure of Ho3Er6Th2 with its simulated powder XRD pattern. Radiation: λ = 1.5418 Å (Cu Kα). Structure: a DFT-relaxed cell (PBE, Alexandria).

Largest 10 diffraction maxima, low angle first, 2θ from 15° to 90°:
- 31.0°, d = 2.886 Å, I 100, (0 1 11)
- 31.3°, d = 2.858 Å, I 32, (0 0 33)
- 36.0°, d = 2.493 Å, I 67, (1 0 22)
- 51.7°, d = 1.769 Å, I 24, (1 1 0)
- 52.1°, d = 1.757 Å, I 24, (0 1 44)
- 61.5°, d = 1.509 Å, I 14, (2 0 11)
- 61.6°, d = 1.505 Å, I 29, (1 1 33)
- 62.0°, d = 1.497 Å, I 14, (1 0 55)
- 64.6°, d = 1.443 Å, I 12, (0 2 22)
- 84.4°, d = 1.148 Å, I 12, (1 2 11)

Cell and atoms:
```
data_Ho3Er6Th2
_chemical_formula_sum 'Ho9 Er18 Th6'
_symmetry_space_group_name_H-M 'R -3 m'
_symmetry_Int_Tables_number 166
_symmetry_space_group_name_Hall '-R 3 2"'
_cell_length_a 3.5390
_cell_length_b 3.5390
_cell_length_c 94.3299
_cell_angle_alpha 90.00
_cell_angle_beta 90.00
_cell_angle_gamma 120.00
loop_
_atom_site_label
_atom_site_fract_x
_atom_site_fract_y
_atom_site_fract_z
_atom_site_occupancy
Ho1 0.0000 0.0000 0.0000 1
Ho2 0.0000 0.0000 0.2728 1
Er1 0.0000 0.0000 0.0913 1
Er2 0.0000 0.0000 0.1823 1
Er3 0.0000 0.0000 0.3636 1
Th1 0.0000 0.0000 0.4546 1
```